Diffraction record for PmAlO3. The powder XRD pattern is computed, not measured: it uses a cell relaxed with GGA-PBE and Cu Kα (weighted mean of Kα1 and Kα2).
Peak positions follow from Bragg's law for the DFT cell and can differ from measured ones.

Cell and atoms:
Cell: 5.337 5.337 5.337 Å, 120.30 90.05 119.64°
Positions (direct):
Pm (0.257, 0.007, 0.250)
Pm (0.743, 0.993, 0.750)
Al (0.000, 0.500, 0.500)
Al (0.500, 0.500, 0.000)
O (0.180, 0.430, 0.750)
O (0.288, 0.000, 0.788)
O (0.288, 0.500, 0.288)
O (0.712, 0.000, 0.212)
O (0.712, 0.500, 0.712)
O (0.820, 0.570, 0.250)

Principal peaks in the range 2θ = 5–70°, in order of falling intensity:
two_theta, intensity
33.58, 100
23.57, 78
48.22, 48
60.22, 30
41.58, 30
41.29, 28
33.74, 24
33.40, 23

---

Diffraction record for PmCd11Pb. The powder XRD pattern is computed, not measured: it uses a cell relaxed with GGA-PBE and Cu Kα (weighted mean of Kα1 and Kα2).
Peak positions follow from Bragg's law for the DFT cell and can differ from measured ones.

Cell and atoms:
Cell: 7.746 7.746 7.654 Å, 99.94 99.94 130.82°
Positions (direct):
Pm (0.000, 0.000, 0.000)
Cd (0.000, 0.500, 0.000)
Cd (0.011, 0.367, 0.348)
Cd (0.309, 0.525, 0.791)
Cd (0.367, 0.011, 0.348)
Cd (0.475, 0.691, 0.209)
Cd (0.500, 0.000, 0.000)
Cd (0.500, 0.500, 0.500)
Cd (0.525, 0.309, 0.791)
Cd (0.633, 0.989, 0.652)
Cd (0.691, 0.475, 0.209)
Cd (0.989, 0.633, 0.652)
Pb (0.000, 0.000, 0.500)

Principal peaks in the range 2θ = 5–70°, in order of falling intensity:
two_theta, intensity
36.28, 100
33.09, 96
37.86, 85
35.36, 79
33.24, 70
35.60, 49
30.48, 48
38.18, 42